(1)
Diffraction record for Mn2Cd2Br. The X-ray diffraction stick pattern is simulated, not measured: it uses a DFT-relaxed cell (PBE, Alexandria) and λ = 1.5418 Å (Cu Kα).
Lines closer than 0.1° are merged.

a b c (Å): 8.271 8.271 3.198
angles (deg): 90.00 90.00 90.00
Sites, in units of the cell vectors:
Mn  0.116  0.384  0.000
Mn  0.384  0.884  0.000
Mn  0.616  0.116  0.000
Mn  0.884  0.616  0.000
Cd  0.178  0.678  0.500
Cd  0.322  0.178  0.500
Cd  0.678  0.822  0.500
Cd  0.822  0.322  0.500
Br  0.000  0.000  0.500
Br  0.500  0.500  0.500

Principal peaks in the range 2θ from 10° to 90°, most intense first:
- 2θ 37.16, rel. 100
- 2θ 34.28, rel. 58
- 2θ 45.20, rel. 24
- 2θ 30.57, rel. 22
- 2θ 72.96, rel. 22
- 2θ 24.06, rel. 21
- 2θ 53.95, rel. 20
- 2θ 27.90, rel. 19
- 2θ 57.61, rel. 18
- 2θ 44.76, rel. 18



(2)
Diffraction record for Ce3TcGe3. The X-ray diffraction stick pattern is simulated, not measured: it uses a DFT-relaxed cell (PBE, Alexandria) and λ = 1.5418 Å (Cu Kα).
Lines closer than 0.1° are merged.

a b c (Å): 8.501 8.501 5.815
angles (deg): 90.00 90.00 120.00
Sites, in units of the cell vectors:
Ce  0.097  0.684  0.250
Ce  0.316  0.413  0.250
Ce  0.413  0.097  0.750
Ce  0.587  0.903  0.250
Ce  0.684  0.587  0.750
Ce  0.903  0.316  0.750
Tc  0.333  0.667  0.750
Tc  0.667  0.333  0.250
Ge  0.081  0.729  0.750
Ge  0.271  0.352  0.750
Ge  0.352  0.081  0.250
Ge  0.648  0.919  0.750
Ge  0.729  0.648  0.250
Ge  0.919  0.271  0.250

Principal peaks in the range 2θ from 10° to 90°, most intense first:
- 2θ 32.17, rel. 100
- 2θ 45.10, rel. 78
- 2θ 30.75, rel. 76
- 2θ 35.78, rel. 64
- 2θ 12.02, rel. 39
- 2θ 36.62, rel. 25
- 2θ 73.49, rel. 23
- 2θ 48.55, rel. 22
- 2θ 20.90, rel. 17
- 2θ 25.97, rel. 16



(3)
Diffraction record for YTa. The X-ray diffraction stick pattern is simulated, not measured: it uses a DFT-relaxed cell (PBE, Alexandria) and λ = 1.5418 Å (Cu Kα).
Lines closer than 0.1° are merged.

a b c (Å): 3.541 3.541 8.100
angles (deg): 90.00 90.00 90.00
Sites, in units of the cell vectors:
Y  0.250  0.250  0.179
Y  0.750  0.750  0.821
Ta  0.250  0.250  0.576
Ta  0.750  0.750  0.424

Principal peaks in the range 2θ from 10° to 90°, most intense first:
- 2θ 10.92, rel. 100
- 2θ 33.62, rel. 98
- 2θ 35.86, rel. 64
- 2θ 42.08, rel. 44
- 2θ 63.04, rel. 43
- 2θ 51.62, rel. 23
- 2θ 37.60, rel. 22
- 2θ 68.71, rel. 21
- 2θ 85.77, rel. 16
- 2θ 69.05, rel. 10



(4)
Diffraction record for RbPaPN4. The X-ray diffraction stick pattern is simulated, not measured: it uses a DFT-relaxed cell (PBE, Alexandria) and λ = 1.5418 Å (Cu Kα).
Lines closer than 0.1° are merged.

a b c (Å): 5.677 5.447 8.029
angles (deg): 90.00 106.60 90.00
Sites, in units of the cell vectors:
Rb  0.210  0.250  0.434
Rb  0.790  0.750  0.566
Pa  0.259  0.250  0.947
Pa  0.741  0.750  0.053
P  0.264  0.750  0.155
P  0.736  0.250  0.845
N  0.078  0.750  0.952
N  0.081  0.750  0.279
N  0.454  0.516  0.167
N  0.454  0.984  0.167
N  0.546  0.016  0.833
N  0.546  0.484  0.833
N  0.919  0.250  0.721
N  0.922  0.250  0.048

Principal peaks in the range 2θ from 10° to 90°, most intense first:
- 2θ 23.11, rel. 100
- 2θ 11.50, rel. 86
- 2θ 32.90, rel. 47
- 2θ 29.32, rel. 35
- 2θ 28.40, rel. 33
- 2θ 36.19, rel. 23
- 2θ 47.22, rel. 19
- 2θ 53.21, rel. 18
- 2θ 34.52, rel. 15
- 2θ 38.38, rel. 15



(5)
Diffraction record for MgMnTe2. The X-ray diffraction stick pattern is simulated, not measured: it uses a DFT-relaxed cell (PBE, Alexandria) and λ = 1.5418 Å (Cu Kα).
Lines closer than 0.1° are merged.

a b c (Å): 4.553 4.553 6.410
angles (deg): 90.00 90.00 90.00
Sites, in units of the cell vectors:
Mg  0.000  0.000  0.000
Mn  0.500  0.500  0.500
Te  0.000  0.500  0.259
Te  0.500  0.000  0.741

Principal peaks in the range 2θ from 10° to 90°, most intense first:
- 2θ 23.97, rel. 100
- 2θ 39.65, rel. 63
- 2θ 46.82, rel. 32
- 2θ 46.98, rel. 16
- 2θ 27.71, rel. 14
- 2θ 71.89, rel. 14
- 2θ 63.07, rel. 13
- 2θ 76.96, rel. 7
- 2θ 57.23, rel. 7
- 2θ 27.84, rel. 7



(6)
Diffraction record for Li3B8C8. The X-ray diffraction stick pattern is simulated, not measured: it uses a DFT-relaxed cell (PBE, Alexandria) and λ = 1.5418 Å (Cu Kα).
Lines closer than 0.1° are merged.

a b c (Å): 8.746 2.714 8.822
angles (deg): 90.00 117.10 90.00
Sites, in units of the cell vectors:
Li  0.000  0.000  0.000
Li  0.212  0.000  0.727
Li  0.688  0.500  0.707
B  0.016  0.000  0.277
B  0.191  0.500  0.948
B  0.273  0.500  0.525
B  0.473  0.000  0.161
B  0.504  0.000  0.789
B  0.677  0.500  0.436
B  0.776  0.500  0.010
B  0.923  0.000  0.693
C  0.014  0.500  0.781
C  0.191  0.000  0.441
C  0.278  0.000  0.022
C  0.420  0.500  0.711
C  0.547  0.500  0.239
C  0.697  0.000  0.928
C  0.748  0.000  0.528
C  0.939  0.500  0.188

Principal peaks in the range 2θ from 10° to 90°, most intense first:
- 2θ 23.75, rel. 100
- 2θ 11.27, rel. 10
- 2θ 45.68, rel. 9
- 2θ 48.60, rel. 9
- 2θ 45.89, rel. 8
- 2θ 38.55, rel. 8
- 2θ 20.33, rel. 6
- 2θ 70.78, rel. 6
- 2θ 46.25, rel. 5
- 2θ 39.32, rel. 4



(7)
Diffraction record for RbNbClO3. The X-ray diffraction stick pattern is simulated, not measured: it uses a DFT-relaxed cell (PBE, Alexandria) and λ = 1.5418 Å (Cu Kα).
Lines closer than 0.1° are merged.

a b c (Å): 7.354 7.354 5.725
angles (deg): 100.85 100.85 108.24
Sites, in units of the cell vectors:
Rb  0.202  0.798  0.750
Rb  0.798  0.202  0.250
Nb  0.452  0.548  0.250
Nb  0.548  0.452  0.750
Cl  0.103  0.897  0.250
Cl  0.897  0.103  0.750
O  0.298  0.702  0.250
O  0.319  0.395  0.480
O  0.395  0.319  0.980
O  0.605  0.681  0.020
O  0.681  0.605  0.520
O  0.702  0.298  0.750

Principal peaks in the range 2θ from 10° to 90°, most intense first:
- 2θ 21.77, rel. 100
- 2θ 24.93, rel. 56
- 2θ 13.15, rel. 48
- 2θ 31.88, rel. 41
- 2θ 27.91, rel. 37
- 2θ 33.29, rel. 35
- 2θ 33.04, rel. 26
- 2θ 22.17, rel. 23
- 2θ 48.83, rel. 20
- 2θ 44.37, rel. 19



(8)
Diffraction record for Li7H5O. The X-ray diffraction stick pattern is simulated, not measured: it uses a DFT-relaxed cell (PBE, Alexandria) and λ = 1.5418 Å (Cu Kα).
Lines closer than 0.1° are merged.

a b c (Å): 4.912 4.912 16.158
angles (deg): 90.00 90.00 146.32
Sites, in units of the cell vectors:
Li  0.066  0.934  0.500
Li  0.135  0.865  0.214
Li  0.135  0.865  0.786
Li  0.298  0.702  0.431
Li  0.298  0.702  0.569
Li  0.410  0.590  0.135
Li  0.411  0.589  0.865
Li  0.589  0.411  0.365
Li  0.590  0.410  0.635
Li  0.702  0.298  0.069
Li  0.702  0.298  0.931
Li  0.865  0.135  0.286
Li  0.865  0.135  0.714
Li  0.934  0.066  0.000
H  0.043  0.957  0.101
H  0.043  0.957  0.899
H  0.225  0.775  0.324
H  0.226  0.774  0.677
H  0.500  0.500  0.250
H  0.500  0.500  0.750
H  0.774  0.226  0.177
H  0.775  0.225  0.824
H  0.957  0.043  0.399
H  0.957  0.043  0.601
O  0.301  0.699  0.000
O  0.699  0.301  0.500

Principal peaks in the range 2θ from 10° to 90°, most intense first:
- 2θ 10.95, rel. 100
- 2θ 44.44, rel. 38
- 2θ 43.69, rel. 34
- 2θ 21.87, rel. 33
- 2θ 19.67, rel. 29
- 2θ 46.27, rel. 28
- 2θ 18.88, rel. 24
- 2θ 43.45, rel. 20
- 2θ 22.00, rel. 18
- 2θ 33.33, rel. 15